1.
Structure and simulated powder diffraction line list of U4Si6Tc7 (a DFT-relaxed cell (PBE, the Materials Project); a wavelength of 1.5418 Å).
Peak positions follow from Bragg's law for the DFT cell and can differ from measured ones.

The 8 most intense peaks (10 to 80 degrees two-theta), by intensity:
d [Å]  Position (°2θ)  I (rel.)  hkl
2.373  37.9  100  2 2 2
2.906  30.8  67  2 2 0
2.055  44.1  62  4 0 0
1.453  64.1  39  4 4 0
1.239  76.9  36  6 2 2
4.110  21.6  35  2 0 0
1.678  54.7  25  4 2 2
1.838  49.6  21  4 2 0

Structural model:
a b c (Å): 8.220 8.220 8.220
angles (deg): 90.00 90.00 90.00
Space group Im-3m (No. 229)
Asymmetric unit:
1 U 0.250 0.250 0.250 [8 per cell]
2 Si 0.000 0.000 0.310 [12 per cell]
3 Tc 0.000 0.000 0.000 [2 per cell]
4 Tc 0.000 0.250 0.500 [12 per cell]

=====

2.
Structure and simulated powder diffraction line list of U2Si5Tc3 (a DFT-relaxed cell (PBE, the Materials Project); a wavelength of 1.5418 Å).
Peak positions follow from Bragg's law for the DFT cell and can differ from measured ones.

The 8 most intense peaks (10 to 80 degrees two-theta), by intensity:
d [Å]  Position (°2θ)  I (rel.)  hkl
2.926  30.6  100  3 1 1
2.389  37.7  79  4 1 1
2.236  40.3  57  2 2 2
2.447  36.7  42  4 2 0
1.504  61.7  36  7 0 1
2.654  33.8  35  4 1 0
3.650  24.4  30  2 1 1
4.895  18.1  30  2 1 0

Structural model:
a b c (Å): 10.940 10.940 5.481
angles (deg): 90.00 90.00 90.00
Space group P4/mnc (No. 128)
Asymmetric unit:
1 U 0.074 0.236 0.000 [8 per cell]
2 Si 0.000 0.000 0.235 [4 per cell]
3 Si 0.025 0.316 0.500 [8 per cell]
4 Si 0.174 0.674 0.250 [8 per cell]
5 Tc 0.000 0.500 0.250 [4 per cell]
6 Tc 0.124 0.858 0.500 [8 per cell]

=====

3.
Structure and simulated powder diffraction line list of Si19Te8 (a DFT-relaxed cell (PBE, the Materials Project); a wavelength of 1.5418 Å).
Peak positions follow from Bragg's law for the DFT cell and can differ from measured ones.

The 8 most intense peaks (10 to 80 degrees two-theta), by intensity:
d [Å]  Position (°2θ)  I (rel.)  hkl
2.819  31.7  100  1 3 4
1.711  53.6  49  3 5 4
2.835  31.6  48  1 1 6
4.302  20.6  44  1 2 2
2.812  31.8  44  4 1 0
3.041  29.4  38  0 4 2
4.718  18.8  32  2 1 1
2.485  36.1  31  5 0 2

Structural model:
a b c (Å): 14.8814 14.8814 18.3958
angles (deg): 90.00 90.00 120.00
Space group R3c (No. 161, hexagonal axes)
Asymmetric unit:
1 Si 0.0000 0.0000 0.0000 [6 per cell]
2 Si 0.0070 0.2480 0.3944 [18 per cell]
3 Si 0.0629 0.4874 0.7490 [18 per cell]
4 Si 0.0865 0.1816 0.4748 [18 per cell]
5 Si 0.1073 0.5491 0.3668 [18 per cell]
6 Si 0.1520 0.4188 0.3801 [18 per cell]
7 Si 0.1758 0.4852 0.9478 [18 per cell]
8 Te 0.0000 0.0000 0.1434 [6 per cell]
9 Te 0.0000 0.0000 0.3312 [6 per cell]
10 Te 0.0848 0.4111 0.5637 [18 per cell]
11 Te 0.2064 0.4202 0.7461 [18 per cell]

=====

4.
Structure and simulated powder diffraction line list of Th3Si2 (a DFT-relaxed cell (PBE, the Materials Project); a wavelength of 1.5418 Å).
Peak positions follow from Bragg's law for the DFT cell and can differ from measured ones.

The 8 most intense peaks (10 to 80 degrees two-theta), by intensity:
d [Å]  Position (°2θ)  I (rel.)  hkl
2.855  31.3  100  2 0 1
2.682  33.4  74  2 1 1
2.479  36.2  46  3 1 0
3.506  25.4  45  2 1 0
3.330  26.8  39  1 1 1
1.689  54.3  31  3 3 1
2.772  32.3  29  2 2 0
1.730  52.9  26  4 1 1

Structural model:
a b c (Å): 7.839 7.839 4.166
angles (deg): 90.00 90.00 90.00
Space group P4/mbm (No. 127)
Asymmetric unit:
1 Th 0.000 0.000 0.000 [2 per cell]
2 Th 0.181 0.319 0.500 [4 per cell]
3 Si 0.113 0.613 0.000 [4 per cell]